Record 1
This entry pairs a crystal structure of MgCd2P2O8 with its simulated X-ray diffraction stick pattern. Radiation: Cu Kα. Structure: a structure optimized by DFT (PBE).

Structure:
abc: 4.8240 5.5573 6.6915
angles: 74.24 84.61 69.77
Space group P-1 (No. 2)
Unique sites:
1 Mg 0.0000 0.0000 0.0000
2 Cd 0.2902 0.2804 0.3179
3 P 0.3699 0.3264 0.7891
4 O 0.2085 0.6165 0.6741
5 O 0.2252 0.2357 0.0000
6 O 0.3088 0.6958 0.1726
7 O 0.3588 0.1327 0.6609

Top 10 peaks for 2θ from 10° to 90°, sorted by position:
- 21.6°, d = 4.122 Å, I = 100, hkl 1 1 0
- 24.0°, d = 3.703 Å, I = 61, hkl 1 0 -1
- 25.1°, d = 3.552 Å, I = 33, hkl 0 1 -1
- 27.7°, d = 3.220 Å, I = 44, hkl 0 0 2
- 28.8°, d = 3.097 Å, I = 98, hkl 0 1 2
- 30.6°, d = 2.918 Å, I = 76, hkl 1 -1 0
- 34.2°, d = 2.624 Å, I = 33, hkl 1 0 2
- 35.6°, d = 2.520 Å, I = 44, hkl 0 2 0
- 37.7°, d = 2.384 Å, I = 31, hkl 2 1 0
- 39.8°, d = 2.263 Å, I = 29, hkl 2 0 0

***

Record 2
This entry pairs a crystal structure of MgCdTeO with its simulated X-ray diffraction stick pattern. Radiation: Cu Kα. Structure: a structure optimized by DFT (PBE).

Structure:
abc: 4.0373 4.0373 10.3476
angles: 90.00 90.00 90.00
Space group P4/nmm (No. 129, origin choice 2)
Unique sites:
1 Mg 0.2500 0.2500 0.0046
2 Cd 0.2500 0.2500 0.6068
3 Te 0.2500 0.2500 0.3191
4 O 0.2500 0.7500 0.0000

Top 10 peaks for 2θ from 10° to 90°, sorted by position:
- 25.8°, d = 3.449 Å, I = 61, hkl 0 0 3
- 31.3°, d = 2.855 Å, I = 100, hkl 1 1 0
- 32.5°, d = 2.752 Å, I = 52, hkl 1 1 1
- 34.2°, d = 2.622 Å, I = 47, hkl 1 0 3
- 41.0°, d = 2.199 Å, I = 49, hkl 1 1 3
- 41.5°, d = 2.178 Å, I = 46, hkl 1 0 4
- 44.9°, d = 2.019 Å, I = 47, hkl 2 0 0
- 52.5°, d = 1.742 Å, I = 32, hkl 2 0 3
- 62.8°, d = 1.481 Å, I = 27, hkl 2 1 4
- 84.7°, d = 1.144 Å, I = 26, hkl 2 1 7

***

Record 3
This entry pairs a crystal structure of Rb4MgCdPb2 with its simulated X-ray diffraction stick pattern. Radiation: Cu Kα. Structure: a structure optimized by DFT (PBE).

Structure:
abc: 8.9590 11.5964 6.7764
angles: 90.00 90.11 90.00
Space group C2/m (No. 12)
Unique sites:
1 Rb 0.1450 0.1726 0.2532
2 Mg 0.0000 0.5000 0.0000
3 Cd 0.0000 0.5000 0.5000
4 Pb 0.2394 0.0000 0.7537

Top 10 peaks for 2θ from 10° to 90°, sorted by position:
- 15.3°, d = 5.798 Å, I = 24, hkl 0 2 0
- 18.1°, d = 4.896 Å, I = 44, hkl 1 1 1
- 25.1°, d = 3.548 Å, I = 19, hkl 1 3 0
- 26.3°, d = 3.388 Å, I = 21, hkl 0 0 2
- 28.4°, d = 3.144 Å, I = 100, hkl 1 3 1
- 30.9°, d = 2.895 Å, I = 17, hkl 0 4 0
- 33.2°, d = 2.702 Å, I = 25, hkl 2 0 2
- 33.7°, d = 2.661 Å, I = 27, hkl 3 1 -1
- 36.7°, d = 2.449 Å, I = 24, hkl 2 2 -2
- 47.7°, d = 1.906 Å, I = 24, hkl 1 3 -3

***

Record 4
This entry pairs a crystal structure of Mg2ZnCdPb2 with its simulated X-ray diffraction stick pattern. Radiation: Cu Kα. Structure: a structure optimized by DFT (PBE).

Structure:
abc: 8.3490 4.7894 15.9048
angles: 90.00 99.33 90.00
Space group Pm (No. 6)
Unique sites:
1 Mg 0.0000 0.0000 0.0000
2 Mg 0.0043 0.5000 0.4903
3 Mg 0.2396 0.0000 0.7376
4 Mg 0.2450 0.5000 0.2403
5 Mg 0.4839 0.0000 0.4833
6 Mg 0.4986 0.5000 0.9980
7 Mg 0.7445 0.0000 0.2360
8 Mg 0.7558 0.5000 0.7386
9 Zn 0.0612 0.5000 0.6750
10 Zn 0.0619 0.0000 0.1816
11 Zn 0.3053 0.5000 0.4244
12 Zn 0.5585 0.5000 0.1799
13 Cd 0.3076 0.0000 0.9307
14 Cd 0.5579 0.0000 0.6740
15 Cd 0.8091 0.0000 0.4262
16 Cd 0.8133 0.5000 0.9316
17 Pb 0.1212 0.5000 0.8583
18 Pb 0.1294 0.0000 0.3627
19 Pb 0.3604 0.5000 0.6082
20 Pb 0.3741 0.0000 0.1237
21 Pb 0.6094 0.5000 0.3616
22 Pb 0.6212 0.0000 0.8651
23 Pb 0.8770 0.5000 0.1252
24 Pb 0.8843 0.0000 0.6174

Top 10 peaks for 2θ from 10° to 90°, sorted by position:
- 22.7°, d = 3.923 Å, I = 100, hkl 2 0 -2
- 26.3°, d = 3.384 Å, I = 16, hkl 1 1 -3
- 37.4°, d = 2.407 Å, I = 72, hkl 3 1 -1
- 37.6°, d = 2.393 Å, I = 36, hkl 0 2 0
- 43.9°, d = 2.061 Å, I = 18, hkl 4 0 0
- 44.3°, d = 2.043 Å, I = 35, hkl 2 2 -2
- 54.2°, d = 1.692 Å, I = 12, hkl 2 2 -6
- 59.1°, d = 1.562 Å, I = 11, hkl 4 2 0
- 67.2°, d = 1.393 Å, I = 9, hkl 4 2 4
- 67.7°, d = 1.385 Å, I = 18, hkl 3 3 -1

***

Record 5
This entry pairs a crystal structure of Y3Mg3Cd2Pd with its simulated X-ray diffraction stick pattern. Radiation: Cu Kα. Structure: a structure optimized by DFT (PBE).

Structure:
abc: 7.6897 7.6897 4.2328
angles: 90.00 90.00 120.00
Space group P-62m (No. 189)
Unique sites:
1 Y 0.0000 0.6002 0.0000
2 Mg 0.0000 0.2358 0.5000
3 Cd 0.3333 0.6667 0.5000
4 Pd 0.0000 0.0000 0.0000

Top 10 peaks for 2θ from 10° to 90°, sorted by position:
- 23.1°, d = 3.845 Å, I = 54, hkl 1 1 0
- 24.9°, d = 3.572 Å, I = 27, hkl 1 0 1
- 31.4°, d = 2.846 Å, I = 86, hkl 1 1 1
- 34.3°, d = 2.617 Å, I = 100, hkl 2 0 1
- 35.7°, d = 2.517 Å, I = 19, hkl 2 1 0
- 40.6°, d = 2.220 Å, I = 49, hkl 3 0 0
- 41.8°, d = 2.163 Å, I = 44, hkl 2 1 1
- 42.7°, d = 2.116 Å, I = 27, hkl 0 0 2
- 60.4°, d = 1.532 Å, I = 29, hkl 3 0 2
- 64.9°, d = 1.437 Å, I = 29, hkl 3 2 1

***

Record 6
This entry pairs a crystal structure of RbMg2Cd2Sb3 with its simulated X-ray diffraction stick pattern. Radiation: Cu Kα. Structure: a structure optimized by DFT (PBE).

Structure:
abc: 4.7154 4.7346 11.2666
angles: 90.00 90.00 90.00
Space group Pmmm (No. 47)
Unique sites:
1 Rb 0.0000 0.0000 0.0000
2 Mg 0.5000 0.0000 0.3334
3 Cd 0.0000 0.5000 0.3329
4 Sb 0.0000 0.0000 0.5000
5 Sb 0.5000 0.5000 0.1868

Top 10 peaks for 2θ from 10° to 90°, sorted by position:
- 18.8°, d = 4.729 Å, I = 20, hkl 0 1 0
- 20.4°, d = 4.350 Å, I = 25, hkl 1 0 1
- 24.6°, d = 3.622 Å, I = 100, hkl 0 1 2
- 27.9°, d = 3.203 Å, I = 19, hkl 1 1 1
- 30.4°, d = 2.938 Å, I = 26, hkl 1 0 3
- 36.0°, d = 2.496 Å, I = 72, hkl 1 1 3
- 38.0°, d = 2.367 Å, I = 28, hkl 0 2 0
- 38.2°, d = 2.358 Å, I = 28, hkl 2 0 0
- 45.9°, d = 1.976 Å, I = 27, hkl 2 1 2
- 55.0°, d = 1.671 Å, I = 19, hkl 2 2 0

***

Record 7
This entry pairs a crystal structure of RbMg2Cd2Sb3 with its simulated X-ray diffraction stick pattern. Radiation: Cu Kα. Structure: a structure optimized by DFT (PBE).

Structure:
abc: 4.7436 4.7436 11.3085
angles: 90.00 90.00 90.00
Space group P4mm (No. 99)
Unique sites:
1 Rb 0.0000 0.0000 0.0000
2 Mg 0.0000 0.5000 0.3300
3 Cd 0.0000 0.5000 0.6593
4 Sb 0.0000 0.0000 0.4870
5 Sb 0.5000 0.5000 0.1902
6 Sb 0.5000 0.5000 0.8075

Top 10 peaks for 2θ from 10° to 90°, sorted by position:
- 24.5°, d = 3.634 Å, I = 100, hkl 1 0 2
- 27.7°, d = 3.216 Å, I = 32, hkl 1 1 1
- 31.0°, d = 2.885 Å, I = 21, hkl 1 1 2
- 35.8°, d = 2.506 Å, I = 70, hkl 1 1 3
- 37.9°, d = 2.372 Å, I = 57, hkl 2 0 0
- 41.8°, d = 2.162 Å, I = 26, hkl 1 1 4
- 45.7°, d = 1.986 Å, I = 37, hkl 2 1 2
- 54.7°, d = 1.677 Å, I = 19, hkl 2 2 0
- 63.0°, d = 1.476 Å, I = 18, hkl 2 0 6
- 67.2°, d = 1.394 Å, I = 21, hkl 3 1 3

***

Record 8
This entry pairs a crystal structure of RbMg2Cd2Sb3 with its simulated X-ray diffraction stick pattern. Radiation: Cu Kα. Structure: a structure optimized by DFT (PBE).

Structure:
abc: 4.7262 4.7262 11.2673
angles: 90.00 90.00 90.00
Space group P-4m2 (No. 115)
Unique sites:
1 Rb 0.0000 0.0000 0.0000
2 Mg 0.0000 0.5000 0.3332
3 Cd 0.0000 0.5000 0.6669
4 Sb 0.0000 0.0000 0.5000
5 Sb 0.5000 0.5000 0.1868

Top 10 peaks for 2θ from 10° to 90°, sorted by position:
- 20.4°, d = 4.358 Å, I = 38, hkl 1 0 1
- 24.6°, d = 3.621 Å, I = 100, hkl 1 0 2
- 27.8°, d = 3.204 Å, I = 18, hkl 1 1 1
- 36.0°, d = 2.497 Å, I = 65, hkl 1 1 3
- 38.1°, d = 2.363 Å, I = 51, hkl 2 0 0
- 41.9°, d = 2.154 Å, I = 17, hkl 1 1 4
- 45.9°, d = 1.979 Å, I = 37, hkl 2 1 2
- 55.0°, d = 1.671 Å, I = 17, hkl 2 2 0
- 63.3°, d = 1.470 Å, I = 18, hkl 2 0 6
- 67.4°, d = 1.389 Å, I = 20, hkl 3 1 3

***

Record 9
This entry pairs a crystal structure of MgCdTeSe with its simulated X-ray diffraction stick pattern. Radiation: Cu Kα. Structure: a structure optimized by DFT (PBE).

Structure:
abc: 6.3068 6.3164 12.5574
angles: 90.00 90.00 90.00
Space group I2_12_12_1 (No. 24)
Unique sites:
1 Mg 0.0000 0.2500 0.1374
2 Cd 0.0000 0.2500 0.6316
3 Te 0.2500 0.0126 0.0000
4 Se 0.2405 0.5000 0.2500

Top 10 peaks for 2θ from 10° to 90°, sorted by position:
- 15.7°, d = 5.639 Å, I = 14, hkl 1 0 1
- 24.5°, d = 3.638 Å, I = 100, hkl 1 1 2
- 32.5°, d = 2.754 Å, I = 8, hkl 1 2 1
- 40.5°, d = 2.229 Å, I = 50, hkl 2 2 0
- 40.5°, d = 2.225 Å, I = 25, hkl 2 0 4
- 47.8°, d = 1.902 Å, I = 31, hkl 3 1 2
- 48.0°, d = 1.895 Å, I = 15, hkl 1 1 6
- 58.5°, d = 1.578 Å, I = 8, hkl 4 0 0
- 64.5°, d = 1.444 Å, I = 12, hkl 3 1 6
- 73.6°, d = 1.287 Å, I = 16, hkl 4 2 4

***

Record 10
This entry pairs a crystal structure of MgCdTeSe with its simulated X-ray diffraction stick pattern. Radiation: Cu Kα. Structure: a structure optimized by DFT (PBE).

Structure:
abc: 8.9181 8.9255 7.7011
angles: 90.00 125.27 90.00
Space group Cc (No. 9)
Unique sites:
1 Mg 0.0000 0.1104 0.0000
2 Cd 0.0236 0.3654 0.4996
3 Te 0.3836 0.1303 0.2499
4 Se 0.3938 0.3805 0.7497

Top 10 peaks for 2θ from 10° to 90°, sorted by position:
- 15.7°, d = 5.640 Å, I = 16, hkl 1 1 0
- 24.5°, d = 3.638 Å, I = 100, hkl 2 0 -2
- 32.5°, d = 2.753 Å, I = 11, hkl 1 3 0
- 40.5°, d = 2.229 Å, I = 49, hkl 2 2 1
- 40.5°, d = 2.225 Å, I = 25, hkl 2 2 -3
- 47.8°, d = 1.902 Å, I = 31, hkl 4 2 -1
- 48.0°, d = 1.897 Å, I = 16, hkl 2 0 2
- 64.4°, d = 1.446 Å, I = 12, hkl 6 0 -4
- 73.6°, d = 1.287 Å, I = 11, hkl 6 2 -1
- 73.7°, d = 1.285 Å, I = 10, hkl 4 0 2

***

Record 11
This entry pairs a crystal structure of MgCd2Si with its simulated X-ray diffraction stick pattern. Radiation: Cu Kα. Structure: a structure optimized by DFT (PBE).

Structure:
abc: 6.8883 6.8883 6.8883
angles: 90.00 90.00 90.00
Space group F-43m (No. 216)
Unique sites:
1 Mg 0.0000 0.0000 0.0000
2 Cd 0.0000 0.0000 0.5000
3 Cd 0.2500 0.2500 0.2500
4 Si 0.2500 0.2500 0.7500

Top 9 peaks for 2θ from 10° to 90°, sorted by position:
- 22.4°, d = 3.977 Å, I = 46, hkl 1 1 1
- 36.9°, d = 2.435 Å, I = 100, hkl 2 2 0
- 43.6°, d = 2.077 Å, I = 24, hkl 3 1 1
- 53.2°, d = 1.722 Å, I = 17, hkl 4 0 0
- 58.4°, d = 1.580 Å, I = 10, hkl 3 3 1
- 66.5°, d = 1.406 Å, I = 33, hkl 4 2 2
- 71.1°, d = 1.326 Å, I = 7, hkl 5 1 1
- 78.6°, d = 1.218 Å, I = 10, hkl 4 4 0
- 82.9°, d = 1.164 Å, I = 7, hkl 5 3 1

***

Record 12
This entry pairs a crystal structure of SrMg2Cd4 with its simulated X-ray diffraction stick pattern. Radiation: Cu Kα. Structure: a structure optimized by DFT (PBE).

Structure:
abc: 7.5671 7.5671 5.9017
angles: 90.00 90.00 90.00
Space group I4/mmm (No. 139)
Unique sites:
1 Sr 0.0000 0.0000 0.0000
2 Mg 0.0000 0.5000 0.2500
3 Cd 0.1927 0.1927 0.5000

Top 10 peaks for 2θ from 10° to 90°, sorted by position:
- 23.5°, d = 3.784 Å, I = 32, hkl 2 0 0
- 30.3°, d = 2.951 Å, I = 50, hkl 0 0 2
- 30.4°, d = 2.936 Å, I = 70, hkl 2 1 1
- 33.5°, d = 2.675 Å, I = 49, hkl 2 2 0
- 38.7°, d = 2.327 Å, I = 39, hkl 2 0 2
- 38.8°, d = 2.319 Å, I = 100, hkl 3 0 1
- 45.9°, d = 1.977 Å, I = 23, hkl 3 2 1
- 59.6°, d = 1.551 Å, I = 27, hkl 3 0 3
- 60.7°, d = 1.526 Å, I = 26, hkl 3 3 2
- 68.7°, d = 1.367 Å, I = 26, hkl 5 2 1